(1)
Al3Zn3Ga2: theoretical powder XRD pattern (Cu Kα (weighted mean of Kα1 and Kα2)), based on a PBE-relaxed structure.

Main lines, in order of falling intensity (10° ≤ 2θ ≤ 90°):
2.376 Å, intensity 100
2.295 Å, intensity 91
2.095 Å, intensity 34
2.011 Å, intensity 30
1.966 Å, intensity 28
3.897 Å, intensity 22
1.451 Å, intensity 20
1.406 Å, intensity 19
1.270 Å, intensity 12
1.233 Å, intensity 11
1.220 Å, intensity 11
1.209 Å, intensity 11

a b c (Å): 16.0830 4.0219 4.1962
angles (deg): 90.00 102.09 90.00
Element x y z (fractional)
Al 0.0000 0.0000 0.0000
Al 0.1232 0.0000 0.6148
Al 0.3768 0.5000 0.3852
Al 0.5000 0.5000 0.0000
Al 0.6232 0.5000 0.6148
Al 0.8768 0.0000 0.3852
Zn 0.0000 0.5000 0.5000
Zn 0.1199 0.5000 0.1126
Zn 0.3801 0.0000 0.8874
Zn 0.5000 0.0000 0.5000
Zn 0.6199 0.0000 0.1126
Zn 0.8801 0.5000 0.8874
Ga 0.2493 0.0000 0.2458
Ga 0.2507 0.5000 0.7542
Ga 0.7493 0.5000 0.2458
Ga 0.7507 0.0000 0.7542


(2)
La2Er7: theoretical powder XRD pattern (Cu Kα (weighted mean of Kα1 and Kα2)), based on a PBE-relaxed structure.

Main lines, in order of falling intensity (10° ≤ 2θ ≤ 90°):
2.911 Å, intensity 100
2.519 Å, intensity 68
1.520 Å, intensity 43
2.901 Å, intensity 33
1.783 Å, intensity 24
1.779 Å, intensity 24
1.516 Å, intensity 14
1.455 Å, intensity 12
1.157 Å, intensity 12
1.128 Å, intensity 11
1.125 Å, intensity 11
1.259 Å, intensity 8

a b c (Å): 6.1776 6.1776 8.7035
angles (deg): 90.00 90.00 120.00
Element x y z (fractional)
La 0.3333 0.6667 0.0000
La 0.6667 0.3333 0.0000
Er 0.0000 0.0000 0.0000
Er 0.0000 0.3317 0.6616
Er 0.0000 0.6683 0.3384
Er 0.3317 0.0000 0.6616
Er 0.3317 0.3317 0.3384
Er 0.6683 0.0000 0.3384
Er 0.6683 0.6683 0.6616


(3)
HoGe2Pd7: theoretical powder XRD pattern (Cu Kα (weighted mean of Kα1 and Kα2)), based on a PBE-relaxed structure.

Main lines, in order of falling intensity (10° ≤ 2θ ≤ 90°):
2.203 Å, intensity 100
2.046 Å, intensity 51
1.209 Å, intensity 28
2.516 Å, intensity 23
1.446 Å, intensity 23
2.783 Å, intensity 18
3.506 Å, intensity 16
2.550 Å, intensity 14
1.596 Å, intensity 13
1.301 Å, intensity 12
1.307 Å, intensity 8
2.892 Å, intensity 7

a b c (Å): 10.6027 10.6027 10.6027
angles (deg): 157.75 157.75 31.67
Element x y z (fractional)
Ho 0.0000 0.0000 0.0000
Ge 0.3256 0.3256 0.0000
Ge 0.6744 0.6744 0.0000
Pd 0.1036 0.6036 0.5000
Pd 0.2500 0.7500 0.5000
Pd 0.3964 0.8964 0.5000
Pd 0.5000 0.5000 0.0000
Pd 0.6036 0.1036 0.5000
Pd 0.7500 0.2500 0.5000
Pd 0.8964 0.3964 0.5000


(4)
BaPrCl5: theoretical powder XRD pattern (Cu Kα (weighted mean of Kα1 and Kα2)), based on a PBE-relaxed structure.

Main lines, in order of falling intensity (10° ≤ 2θ ≤ 90°):
4.066 Å, intensity 100
4.401 Å, intensity 67
2.787 Å, intensity 63
2.659 Å, intensity 57
2.431 Å, intensity 54
2.126 Å, intensity 45
4.156 Å, intensity 44
2.345 Å, intensity 43
2.339 Å, intensity 42
2.262 Å, intensity 33
3.529 Å, intensity 33
3.731 Å, intensity 30

a b c (Å): 10.3330 10.3330 7.0711
angles (deg): 90.96 90.96 148.63
Element x y z (fractional)
Ba 0.1745 0.8255 0.7500
Ba 0.8255 0.1745 0.2500
Pr 0.4228 0.5772 0.7500
Pr 0.5772 0.4228 0.2500
Cl 0.1267 0.8733 0.2500
Cl 0.2212 0.2919 0.3985
Cl 0.2919 0.2212 0.8985
Cl 0.3033 0.6840 0.0030
Cl 0.3160 0.6967 0.4970
Cl 0.6840 0.3033 0.5030
Cl 0.6967 0.3160 0.9970
Cl 0.7081 0.7788 0.1015
Cl 0.7788 0.7081 0.6015
Cl 0.8733 0.1267 0.7500